# 1
This entry pairs a crystal structure of Nd2Er4Tm7 with its simulated PXRD pattern. Radiation: a wavelength of 1.5418 Å. Structure: the GGA-PBE geometry in Alexandria.
No peak broadening, texture or thermal motion is included.

Cell: 6.2823 6.4316 11.6598 Å, 88.57 87.14 60.78°
Space group P-1 (No. 2)
Symmetry-distinct sites (fractional):
Nd (0.1627, 0.1748, 0.0002)
Er (0.2238, 0.0523, 0.5003)
Er (0.2912, 0.5000, 0.4405)
Tm (0.1356, 0.8616, 0.2340)
Tm (0.1843, 0.5002, 0.7361)
Tm (0.4975, 0.1380, 0.2341)
Tm (0.5000, 0.5000, 0.0000)

Principal peaks in the range 2θ = 5–70°, by angle:
2θ = 29.01°, I 70; 2θ = 29.11°, I 49; 2θ = 30.71°, I 95; 2θ = 31.45°, I 36; 2θ = 31.72°, I 40; 2θ = 32.15°, I 100; 2θ = 33.10°, I 43; 2θ = 35.82°, I 89; 2θ = 49.95°, I 34; 2θ = 57.73°, I 34

# 2
This entry pairs a crystal structure of ErTm3Te6 with its simulated PXRD pattern. Radiation: a wavelength of 1.5418 Å. Structure: the GGA-PBE geometry in Alexandria.
No peak broadening, texture or thermal motion is included.

Cell: 12.3726 4.3042 12.6695 Å, 90.00 109.44 90.00°
Space group P2_1/m (No. 11)
Symmetry-distinct sites (fractional):
Er (0.0441, 0.2500, 0.1942)
Tm (0.1559, 0.2500, 0.5799)
Tm (0.3157, 0.7500, 0.9979)
Tm (0.4312, 0.2500, 0.3341)
Te (0.0828, 0.7500, 0.3993)
Te (0.1102, 0.2500, 0.9673)
Te (0.1915, 0.7500, 0.7504)
Te (0.2521, 0.7500, 0.2199)
Te (0.3928, 0.2500, 0.5619)
Te (0.4820, 0.2500, 0.1176)

Principal peaks in the range 2θ = 5–70°, by angle:
2θ = 24.06°, I 40; 2θ = 28.21°, I 100; 2θ = 28.69°, I 59; 2θ = 30.99°, I 76; 2θ = 37.63°, I 39; 2θ = 37.88°, I 76; 2θ = 39.54°, I 39; 2θ = 41.03°, I 39; 2θ = 41.84°, I 38; 2θ = 41.98°, I 69

# 3
This entry pairs a crystal structure of K8Rb2Na3 with its simulated PXRD pattern. Radiation: a wavelength of 1.5418 Å. Structure: the GGA-PBE geometry in Alexandria.
No peak broadening, texture or thermal motion is included.

Cell: 12.6677 4.6673 15.5465 Å, 90.00 108.25 90.00°
Space group P2/m (No. 10)
Symmetry-distinct sites (fractional):
K (0.1443, 0.0000, 0.1179)
K (0.1598, 0.5000, 0.8460)
K (0.2777, 0.0000, 0.6191)
K (0.3440, 0.5000, 0.3825)
Rb (0.4690, 0.5000, 0.1343)
Na (0.0000, 0.5000, 0.5000)
Na (0.0576, 0.0000, 0.3497)

Principal peaks in the range 2θ = 5–70°, by angle:
2θ = 20.41°, I 62; 2θ = 22.51°, I 37; 2θ = 23.83°, I 94; 2θ = 24.11°, I 100; 2θ = 24.76°, I 97; 2θ = 24.90°, I 52; 2θ = 26.01°, I 70; 2θ = 26.32°, I 38; 2θ = 27.29°, I 79; 2θ = 38.58°, I 36

# 4
This entry pairs a crystal structure of Ca2AsPd7 with its simulated PXRD pattern. Radiation: a wavelength of 1.5418 Å. Structure: the GGA-PBE geometry in Alexandria.
No peak broadening, texture or thermal motion is included.

Cell: 9.6208 9.6208 9.6208 Å, 90.00 90.00 90.00°
Space group Fm-3m (No. 225)
Symmetry-distinct sites (fractional):
Ca (0.2500, 0.2500, 0.2500)
As (0.0000, 0.0000, 0.0000)
Pd (0.0000, 0.0000, 0.2388)
Pd (0.0000, 0.0000, 0.5000)

Principal peaks in the range 2θ = 5–70°, by angle:
2θ = 18.44°, I 74; 2θ = 32.23°, I 71; 2θ = 37.39°, I 100; 2θ = 40.89°, I 4; 2θ = 42.00°, I 34; 2θ = 49.21°, I 3; 2θ = 53.91°, I 66; 2θ = 57.47°, I 17; 2θ = 64.22°, I 26; 2θ = 67.44°, I 22

# 5
This entry pairs a crystal structure of Cs6K2Cl3 with its simulated PXRD pattern. Radiation: a wavelength of 1.5418 Å. Structure: the GGA-PBE geometry in Alexandria.
No peak broadening, texture or thermal motion is included.

Cell: 17.0253 6.7283 15.7333 Å, 90.00 117.05 90.00°
Space group C2/m (No. 12)
Symmetry-distinct sites (fractional):
Cs (0.0952, 0.0000, 0.4073)
Cs (0.0992, 0.0000, 0.9583)
Cs (0.1480, 0.5000, 0.2233)
K (0.1500, 0.5000, 0.6868)
Cl (0.0000, 0.5000, 0.0000)
Cl (0.1313, 0.0000, 0.2013)

Principal peaks in the range 2θ = 5–70°, by angle:
2θ = 10.44°, I 51; 2θ = 14.40°, I 22; 2θ = 20.89°, I 91; 2θ = 21.01°, I 100; 2θ = 22.61°, I 40; 2θ = 23.47°, I 34; 2θ = 26.50°, I 51; 2θ = 35.10°, I 26; 2θ = 35.68°, I 23; 2θ = 43.63°, I 25

# 6
This entry pairs a crystal structure of TbNd12Sm2 with its simulated PXRD pattern. Radiation: a wavelength of 1.5418 Å. Structure: the GGA-PBE geometry in Alexandria.
No peak broadening, texture or thermal motion is included.

Cell: 7.2360 11.6879 25.1339 Å, 90.00 90.00 90.00°
Space group Cmme (No. 67)
Symmetry-distinct sites (fractional):
Tb (0.0000, 0.2500, 0.0007)
Nd (0.0000, 0.0017, 0.9259)
Nd (0.0000, 0.0245, 0.4400)
Nd (0.2295, 0.2500, 0.5831)
Nd (0.2483, 0.2500, 0.1286)
Nd (0.2500, 0.0000, 0.1988)
Nd (0.2500, 0.0000, 0.3256)
Sm (0.0000, 0.2500, 0.2727)
Sm (0.0000, 0.2500, 0.7331)

Principal peaks in the range 2θ = 5–70°, by angle:
2θ = 28.46°, I 30; 2θ = 29.19°, I 52; 2θ = 29.90°, I 71; 2θ = 30.60°, I 72; 2θ = 30.97°, I 22; 2θ = 32.38°, I 100; 2θ = 36.23°, I 40; 2θ = 55.52°, I 20; 2θ = 57.16°, I 20; 2θ = 60.16°, I 21

Question: What is the formula in the sixth record?
Answer: TbNd12Sm2